Structure and theoretical powder diffraction line list of YErTlHg (a crystal structure in Alexandria, relaxed with PBE; copper Kα).

Atomic structure:
```
YErTlHg
1.0
7.497 0.000 0.000
0.000 7.497 0.000
0.000 0.000 7.497
Y Er Tl Hg
4 4 4 4
Direct
0.000 0.000 0.000
0.000 0.500 0.500
0.500 0.000 0.500
0.500 0.500 0.000
0.000 0.000 0.500
0.000 0.500 0.000
0.500 0.000 0.000
0.500 0.500 0.500
0.250 0.250 0.750
0.250 0.750 0.250
0.750 0.250 0.250
0.750 0.750 0.750
0.250 0.250 0.250
0.250 0.750 0.750
0.750 0.250 0.750
0.750 0.750 0.250
```

Peak list (10 most intense, 10° ≤ 2θ ≤ 90°, sorted by position)
2theta  d/Å  Rel. int.  hkl
20.52  4.329  2.8  1 1 1
23.74  3.749  5.5  2 0 0
33.82  2.651  100.0  2 2 0
39.88  2.261  1.7  3 1 1
41.73  2.164  1.9  2 2 2
48.57  1.874  18.2  4 0 0
54.76  1.676  2.6  4 2 0
60.50  1.530  38.0  4 2 2
71.14  1.325  11.8  4 4 0
81.13  1.185  16.7  6 2 0